Starting from a DFT-relaxed cell (GGA+U, Alexandria), the PXRD pattern of CoSi2O6 was simulated for copper Kα.

```
18
Lattice="4.7801 -4.2967 0.0000 4.7801 4.2967 0.0000 -1.8463 0.0000 5.0032" Properties=species:S:1:pos:R:3 pbc="T T T"
Co 0.0000 0.0000 0.0000
Co 3.8570 -2.5932 2.5016
Si 0.9937 1.6287 4.9334
Si 1.9573 0.1456 2.4821
Si 6.7203 1.6287 0.0697
Si 5.7567 0.1456 2.5210
O 0.3631 0.2647 1.9661
O 2.8652 0.9790 1.4153
O 2.0065 0.8406 3.9487
O -0.4259 -1.1219 4.9038
O 2.4345 -1.4034 2.6380
O 4.8488 0.9790 3.5879
O 5.7075 0.8406 1.0544
O 3.5012 -2.7552 0.6524
O 5.2795 -1.4034 2.3652
O 7.3509 0.2647 3.0371
O 4.2128 -2.7552 4.3508
O 8.1399 -1.1219 0.0993
```

Most intense lines, 10° ≤ 2θ ≤ 80°, most intense first:
two_theta	d/Å	I/Imax
30.0	2.975	100
20.0	4.450	80
14.3	6.205	71
31.7	2.824	66
20.7	4.297	48
35.9	2.502	35
25.4	3.506	35
42.1	2.149	26
37.6	2.393	24
47.7	1.905	20
58.0	1.590	19
56.0	1.642	14



Starting from a DFT-relaxed cell (GGA+U, Alexandria), the PXRD pattern of Sr2CoSi2O7 was simulated for copper Kα.

```
24
Lattice="8.1064 0.0000 0.0000 0.0000 8.1064 0.0000 0.0000 0.0000 5.2281" Properties=species:S:1:pos:R:3 pbc="T T T"
Sr 1.3495 2.7037 0.0355
Sr 2.7037 6.7569 5.1926
Sr 5.4027 1.3495 5.1926
Sr 6.7569 5.4027 0.0355
Co 0.0000 0.0000 2.6140
Co 4.0532 4.0532 2.6140
Si 1.1213 5.1744 2.8965
Si 2.9319 1.1213 2.3316
Si 5.1744 6.9851 2.3316
Si 6.9851 2.9319 2.8965
O 0.0000 4.0532 3.4663
O 0.6468 6.5565 3.6604
O 1.1323 5.1855 1.2798
O 1.5499 0.6468 1.5677
O 2.5033 4.7000 3.6604
O 2.9209 1.1323 3.9483
O 3.4064 2.5033 1.5677
O 4.0532 0.0000 1.7617
O 4.7000 5.6030 1.5677
O 5.1855 6.9741 3.9483
O 5.6030 3.4064 3.6604
O 6.5565 7.4595 1.5677
O 6.9741 2.9209 1.2798
O 7.4595 1.5499 3.6604
```

Most intense lines, 10° ≤ 2θ ≤ 80°, most intense first:
two_theta	d/Å	I/Imax
30.0	2.979	100
27.9	3.203	42
35.0	2.563	26
49.8	1.830	25
23.0	3.863	23
42.6	2.120	22
58.8	1.571	14
49.5	1.840	14
50.9	1.795	13
64.4	1.447	12
72.5	1.304	11
46.2	1.966	11



Starting from a DFT-relaxed cell (GGA+U, Alexandria), the PXRD pattern of Sm4Co6O19 was simulated for copper Kα.

```
29
Lattice="-4.2852 4.2852 4.2852 4.2852 -4.2852 4.2852 4.2852 4.2852 -4.2852" Properties=species:S:1:pos:R:3 pbc="T T T"
Sm 2.8773 2.8773 -2.8773
Sm 2.8773 -2.8773 2.8773
Sm 1.4079 1.4079 1.4079
Sm -2.8773 2.8773 2.8773
Co 4.2852 0.0000 1.3592
Co 4.2852 2.9260 0.0000
Co 1.3592 4.2852 0.0000
Co 2.9260 0.0000 4.2852
Co 0.0000 1.3592 4.2852
Co 0.0000 4.2852 2.9260
O 0.0000 0.0000 0.0000
O 3.0242 0.0000 0.0000
O 5.5463 0.0000 0.0000
O 4.6022 1.8272 -1.4931
O 2.7921 -0.3170 2.4580
O 2.4580 2.7921 -0.3170
O 5.7783 0.3170 2.4580
O 0.0000 3.0242 0.0000
O 0.0000 0.0000 3.0242
O 1.8272 -1.4931 4.6022
O 3.9682 1.8272 1.4931
O -0.3170 2.4580 2.7921
O 1.8272 1.4931 3.9682
O 0.0000 5.5463 0.0000
O 0.0000 0.0000 5.5463
O 1.4931 3.9682 1.8272
O 2.4580 5.7783 0.3170
O -1.4931 4.6022 1.8272
O 0.3170 2.4580 5.7783
```

Most intense lines, 10° ≤ 2θ ≤ 80°, most intense first:
two_theta	d/Å	I/Imax
25.5	3.499	100
44.9	2.020	65
33.1	2.710	59
65.3	1.428	27
39.3	2.291	26
52.3	1.749	20
59.0	1.565	19
54.6	1.681	18
36.3	2.474	15
75.2	1.264	11
63.3	1.470	10
71.3	1.322	10



Starting from a DFT-relaxed cell (GGA+U, Alexandria), the PXRD pattern of Sm2CoO4 was simulated for copper Kα.

```
14
Lattice="6.1066 -2.8202 0.0000 6.1066 2.8202 0.0000 0.0000 0.0000 5.6491" Properties=species:S:1:pos:R:3 pbc="T T T"
Sm 1.8698 0.0000 0.0000
Sm 4.2368 0.0000 2.8246
Sm 7.9764 0.0000 2.8246
Sm 10.3434 0.0000 0.0000
Co 0.0000 0.0000 2.8246
Co 6.1066 0.0000 0.0000
O 3.0533 1.3498 4.2369
O 6.1066 1.7211 4.4132
O 6.1066 1.0991 1.5886
O 3.0533 -1.3498 1.4123
O 9.1599 1.3498 4.2369
O 6.1066 -1.0991 4.0605
O 6.1066 -1.7211 1.2360
O 9.1599 -1.3498 1.4123
```

Most intense lines, 10° ≤ 2θ ≤ 80°, most intense first:
two_theta	d/Å	I/Imax
31.4	2.850	100
56.3	1.635	39
31.7	2.822	35
45.4	1.996	25
23.4	3.794	21
55.7	1.651	17
43.7	2.073	16
65.5	1.425	10
44.5	2.036	8
75.1	1.265	7
75.3	1.262	7
57.7	1.599	7



Starting from a DFT-relaxed cell (GGA+U, Alexandria), the PXRD pattern of Sr3SmCo2O8 was simulated for copper Kα.

```
14
Lattice="5.4249 0.0000 0.0000 0.0000 2.7043 6.1578 0.0000 -2.7043 6.1578" Properties=species:S:1:pos:R:3 pbc="T T T"
Sr 0.0000 0.0000 0.0000
Sr 0.0000 0.0000 3.5036
Sr 2.7124 0.0000 9.7093
Sm 2.7124 0.0000 6.2579
Co 0.0000 0.0000 7.9383
Co 2.7124 0.0000 1.7950
O 0.0000 0.0000 5.9636
O 0.0000 0.0000 9.8436
O 1.3946 -1.3122 7.8613
O 1.3946 1.3122 7.8613
O 2.7124 0.0000 3.8922
O 2.7124 0.0000 12.1511
O 4.0302 -1.3122 7.8613
O 4.0302 1.3122 7.8613
```

Most intense lines, 10° ≤ 2θ ≤ 80°, most intense first:
two_theta	d/Å	I/Imax
32.0	2.801	100
47.5	1.915	39
33.0	2.712	37
33.1	2.704	37
44.6	2.034	28
58.3	1.582	18
58.4	1.579	18
43.7	2.072	17
56.2	1.636	14
24.3	3.657	13
66.8	1.400	13
44.1	2.053	13



Starting from a DFT-relaxed cell (GGA+U, Alexandria), the PXRD pattern of Co3SnO6 was simulated for copper Kα.

```
20
Lattice="5.0043 0.0000 0.0000 0.0000 5.1663 0.0000 -4.5614 0.0000 8.2181" Properties=species:S:1:pos:R:3 pbc="T T T"
Co 0.0000 0.0000 0.0000
Co -2.2807 2.5831 4.1090
Co -2.3137 0.3436 6.0048
Co -0.0330 2.2395 1.8957
Co 0.4759 2.9267 6.3224
Co 2.7566 4.8227 2.2133
Sn 0.2215 0.0000 4.1090
Sn 2.5022 2.5831 0.0000
O -1.4173 1.0731 3.4644
O -3.6980 1.5101 7.5735
O -0.9108 3.6237 3.2524
O -3.1916 4.1258 7.3615
O 0.9703 0.5296 2.2005
O -1.3104 2.0536 6.3095
O 1.7533 3.1127 1.9086
O -0.5274 4.6367 6.0176
O 3.6345 1.0405 0.8566
O 1.3538 1.5426 4.9657
O 4.1409 3.6562 0.6446
O 1.8602 4.0932 4.7537
```

Most intense lines, 10° ≤ 2θ ≤ 80°, most intense first:
two_theta	d/Å	I/Imax
32.5	2.758	100
33.8	2.654	85
50.8	1.796	31
61.6	1.505	27
35.9	2.499	26
34.7	2.583	26
20.3	4.374	22
44.1	2.055	21
57.3	1.608	21
64.0	1.454	18
56.5	1.630	17
24.8	3.592	15



Starting from a DFT-relaxed cell (GGA+U, Alexandria), the PXRD pattern of CoSnO3 was simulated for copper Kα.

```
10
Lattice="2.6792 1.5468 4.7473 -2.6792 1.5468 4.7473 0.0000 -3.0936 4.7473" Properties=species:S:1:pos:R:3 pbc="T T T"
Co 0.0000 0.0000 2.0086
Co 0.0000 0.0000 12.2332
Sn 0.0000 0.0000 5.0194
Sn 0.0000 0.0000 9.2224
O -1.0685 -1.5209 5.9156
O -1.8514 0.1649 8.3261
O -0.7829 1.6858 5.9156
O 0.7829 -1.6858 8.3261
O 1.8514 -0.1649 5.9156
O 1.0685 1.5209 8.3261
```

Most intense lines, 10° ≤ 2θ ≤ 80°, most intense first:
two_theta	d/Å	I/Imax
31.7	2.825	100
33.4	2.679	94
51.4	1.777	47
46.7	1.944	41
58.7	1.573	39
59.8	1.547	33
22.9	3.888	27
38.6	2.333	25
69.0	1.362	18
18.7	4.747	17
20.1	4.412	14
79.1	1.210	14



Starting from a DFT-relaxed cell (GGA+U, Alexandria), the PXRD pattern of CoSnO was simulated for copper Kα.

```
3
Lattice="3.0985 0.0000 0.0000 0.0000 3.2510 0.0000 -0.1461 0.0000 4.5783" Properties=species:S:1:pos:R:3 pbc="T T T"
Co 0.0000 0.0000 0.0000
Sn 1.5084 1.6255 1.7278
O -0.0089 1.6255 3.3257
```

Most intense lines, 10° ≤ 2θ ≤ 80°, most intense first:
two_theta	d/Å	I/Imax
33.8	2.651	100
40.2	2.242	63
34.4	2.604	52
35.5	2.528	52
48.7	1.871	37
19.4	4.578	36
39.4	2.289	19
71.1	1.326	19
44.6	2.032	18
56.8	1.621	18
27.4	3.251	18
58.3	1.584	17



Starting from a DFT-relaxed cell (GGA+U, Alexandria), the PXRD pattern of Co2SnO3 was simulated for copper Kα.

```
12
Lattice="5.4798 -2.8821 0.0000 5.4798 2.8821 0.0000 -3.2385 0.0000 5.3350" Properties=species:S:1:pos:R:3 pbc="T T T"
Co 1.7436 0.5582 0.2674
Co 0.1243 -0.5582 2.9349
Co 7.5968 0.5582 2.4001
Co 5.9776 -0.5582 5.0677
Sn 3.0510 0.3860 4.0013
Sn 4.6702 -0.3860 1.3338
O 4.6702 1.7360 1.3338
O 0.3868 0.2910 4.6691
O 2.0061 -0.2910 2.0016
O 5.7151 0.2910 3.3334
O 7.3343 -0.2910 0.6659
O 3.0510 -1.7360 4.0013
```

Most intense lines, 10° ≤ 2θ ≤ 80°, most intense first:
two_theta	d/Å	I/Imax
32.6	2.746	100
35.5	2.526	87
35.9	2.503	86
33.6	2.668	78
27.8	3.204	58
18.1	4.909	54
53.3	1.720	50
47.2	1.927	38
31.0	2.882	32
28.7	3.115	29
42.8	2.115	25
65.1	1.433	23



Starting from a DFT-relaxed cell (GGA+U, Alexandria), the PXRD pattern of TaCo2SnO6 was simulated for copper Kα.

```
10
Lattice="2.6293 1.5180 4.9468 -2.6293 1.5180 4.9468 0.0000 -3.0361 4.9468" Properties=species:S:1:pos:R:3 pbc="T T T"
Ta 0.0000 0.0000 0.0000
Co 0.0000 0.0000 4.6211
Co 0.0000 0.0000 11.7399
Sn 0.0000 0.0000 7.7997
O -0.8427 -1.4407 5.7656
O -2.1757 -0.0520 8.5254
O -0.8264 1.4502 5.7656
O 1.1328 -1.8582 8.5254
O 1.6691 -0.0094 5.7656
O 1.0428 1.9102 8.5254
```

Most intense lines, 10° ≤ 2θ ≤ 80°, most intense first:
two_theta	d/Å	I/Imax
31.1	2.876	100
34.1	2.629	90
22.9	3.881	64
50.7	1.802	41
46.8	1.941	36
59.2	1.561	34
61.0	1.518	26
41.5	2.177	17
67.0	1.397	14
54.7	1.677	13
17.9	4.947	13
73.2	1.294	13



Starting from a DFT-relaxed cell (GGA+U, Alexandria), the PXRD pattern of CoSnTeO6 was simulated for copper Kα.

```
18
Lattice="5.2738 0.0000 0.0000 -2.6369 4.5672 0.0000 0.0000 0.0000 9.0466" Properties=species:S:1:pos:R:3 pbc="T T T"
Co 0.0000 0.0000 0.0000
Co 0.0000 0.0000 4.5233
Sn 0.0000 3.0448 2.2617
Sn 2.6369 1.5224 6.7850
Te 0.0000 3.0448 6.7850
Te 2.6369 1.5224 2.2617
O -0.8486 1.6416 5.7044
O -1.6395 3.0115 7.8655
O 0.8486 1.6416 7.8655
O -0.7909 4.4814 5.7044
O 1.8460 0.0859 1.1811
O 0.9974 1.5557 3.3422
O 1.6395 3.0115 5.7044
O 0.7909 4.4814 7.8655
O 3.4278 0.0859 3.3422
O 1.7883 2.9256 1.1811
O 4.2764 1.5557 1.1811
O 3.4855 2.9256 3.3422
```

Most intense lines, 10° ≤ 2θ ≤ 80°, most intense first:
two_theta	d/Å	I/Imax
27.8	3.214	100
53.4	1.717	57
34.0	2.637	57
39.6	2.278	44
19.6	4.523	40
44.4	2.039	27
57.1	1.613	26
60.8	1.522	23
19.4	4.567	15
78.4	1.220	10
64.6	1.443	10
75.2	1.263	10



Starting from a DFT-relaxed cell (GGA+U, Alexandria), the PXRD pattern of Sr3Co2O7 was simulated for copper Kα.

```
12
Lattice="-1.9635 1.9635 9.8916 1.9635 -1.9635 9.8916 1.9635 1.9635 -9.8916" Properties=species:S:1:pos:R:3 pbc="T T T"
Sr 0.0000 0.0000 0.0000
Sr 0.0000 0.0000 3.5478
Sr 0.0000 0.0000 16.2355
Co 0.0000 0.0000 7.9694
Co 0.0000 0.0000 11.8139
O 1.9635 0.0000 1.8737
O 0.0000 0.0000 6.0900
O 1.9635 0.0000 8.0179
O 0.0000 0.0000 9.8916
O 0.0000 1.9635 1.8737
O 0.0000 0.0000 13.6932
O 0.0000 1.9635 8.0179
```

Most intense lines, 10° ≤ 2θ ≤ 80°, most intense first:
two_theta	d/Å	I/Imax
32.1	2.787	100
32.2	2.777	75
46.2	1.964	47
57.4	1.605	38
42.6	2.124	26
76.7	1.242	20
67.2	1.394	14
67.5	1.388	14
45.9	1.978	13
57.2	1.611	12
39.3	2.294	12
75.3	1.263	7